This entry pairs a crystal structure of MgTiAgP3O12 with its calculated powder X-ray diffraction pattern. Radiation: λ = 1.5418 Å (Cu Kα). Structure: a crystal structure in the Materials Project, relaxed with GGA-PBE.
Kinematic intensities with the Lorentz-polarization factor, no thermal factor.

Most intense lines, 10 to 80 degrees two-theta, by angle:
- 14.43°, rel. 34.9
- 20.15°, rel. 87.9
- 20.77°, rel. 56.6
- 23.98°, rel. 100.0
- 29.10°, rel. 30.6
- 33.02°, rel. 78.2
- 35.27°, rel. 48.4
- 35.65°, rel. 23.8
- 47.25°, rel. 23.9
- 49.09°, rel. 31.1
- 55.14°, rel. 25.1
- 61.88°, rel. 25.5

Atomic structure:
```
MgTiAgP3O12
1.0
4.4071 2.5444 6.8835
-4.4071 2.5444 6.8835
0.0000 -5.0889 6.8835
Mg Ti Ag P O
2 2 2 6 24
direct
0.0000 0.0000 0.0000
0.5000 0.5000 0.5000
0.1500 0.1500 0.1500
0.6500 0.6500 0.6500
0.3557 0.3557 0.3557
0.8557 0.8557 0.8557
0.0527 0.7614 0.4487
0.2614 0.5527 0.9487
0.4487 0.0527 0.7614
0.5527 0.9487 0.2614
0.7614 0.4487 0.0527
0.9487 0.2614 0.5527
0.0106 0.1965 0.3826
0.0357 0.8253 0.5955
0.0549 0.9203 0.2565
0.0955 0.3253 0.5357
0.1071 0.7458 0.9317
0.1965 0.3826 0.0106
0.2458 0.6071 0.4317
0.2565 0.0549 0.9203
0.3253 0.5357 0.0955
0.3826 0.0106 0.1965
0.4203 0.5549 0.7565
0.4317 0.2458 0.6071
0.5106 0.8826 0.6965
0.5357 0.0955 0.3253
0.5549 0.7565 0.4203
0.5955 0.0357 0.8253
0.6071 0.4317 0.2458
0.6965 0.5106 0.8826
0.7458 0.9317 0.1071
0.7565 0.4203 0.5549
0.8253 0.5955 0.0357
0.8826 0.6965 0.5106
0.9203 0.2565 0.0549
0.9317 0.1071 0.7458
```

***

This entry pairs a crystal structure of MgAg14Pb6O18 with its calculated powder X-ray diffraction pattern. Radiation: λ = 1.5418 Å (Cu Kα). Structure: a crystal structure in the Materials Project, relaxed with GGA-PBE.
Kinematic intensities with the Lorentz-polarization factor, no thermal factor.

Most intense lines, 10 to 80 degrees two-theta, by angle:
- 27.46°, rel. 47.4
- 29.37°, rel. 85.8
- 31.53°, rel. 48.4
- 31.88°, rel. 61.9
- 32.20°, rel. 100.0
- 32.34°, rel. 41.0
- 32.56°, rel. 40.9
- 32.80°, rel. 79.1
- 35.94°, rel. 32.1
- 36.14°, rel. 56.9
- 50.93°, rel. 25.6
- 54.38°, rel. 30.6

Atomic structure:
```
MgAg14Pb6O18
1.0
8.7932 0.0000 0.0000
2.7619 8.5151 0.0000
2.5330 1.9314 8.5126
Mg Ag Pb O
1 14 6 18
direct
0.0000 0.0000 0.0000
0.0504 0.0144 0.6782
0.1174 0.6427 0.8728
0.1516 0.1533 0.3294
0.2457 0.2323 0.9652
0.3235 0.7762 0.5481
0.3673 0.3918 0.1373
0.4551 0.4506 0.7332
0.4890 0.9562 0.2081
0.5339 0.5504 0.3235
0.6456 0.1196 0.8763
0.7306 0.7257 0.4221
0.7926 0.3039 0.5509
0.8492 0.8554 0.6338
0.9438 0.4783 0.2216
0.1219 0.4555 0.5610
0.1458 0.7811 0.2499
0.4628 0.1223 0.5536
0.4645 0.7956 0.8840
0.7798 0.1499 0.2330
0.7924 0.4650 0.8859
0.0629 0.0934 0.1555
0.0657 0.4420 0.8254
0.1149 0.7223 0.5142
0.1344 0.5163 0.2962
0.1816 0.8424 0.9056
0.1936 0.1944 0.5425
0.3998 0.3944 0.5426
0.4277 0.7743 0.1451
0.4526 0.0638 0.8185
0.5016 0.8495 0.6104
0.5144 0.5207 0.9120
0.5179 0.1522 0.2825
0.7337 0.7261 0.8625
0.7412 0.1126 0.4912
0.7618 0.4138 0.1550
0.8207 0.1909 0.9454
0.8462 0.4894 0.6161
0.8627 0.8932 0.2064
```

***

This entry pairs a crystal structure of MgAg14Pb6O18 with its calculated powder X-ray diffraction pattern. Radiation: λ = 1.5418 Å (Cu Kα). Structure: a crystal structure in the Materials Project, relaxed with GGA-PBE.
Kinematic intensities with the Lorentz-polarization factor, no thermal factor.

Most intense lines, 10 to 80 degrees two-theta, by angle:
- 29.30°, rel. 36.8
- 29.59°, rel. 100.0
- 31.46°, rel. 65.1
- 31.64°, rel. 76.0
- 31.69°, rel. 69.8
- 32.13°, rel. 44.5
- 32.50°, rel. 68.1
- 32.60°, rel. 45.8
- 36.76°, rel. 47.4
- 37.00°, rel. 52.7
- 53.90°, rel. 48.1
- 54.56°, rel. 34.2

Atomic structure:
```
MgAg14Pb6O18
1.0
9.0133 0.0000 0.0000
3.0019 8.5142 0.0000
2.9727 2.1105 8.3570
Mg Ag Pb O
1 14 6 18
direct
0.0000 0.0000 0.0000
0.1066 0.8921 0.2705
0.1641 0.4981 0.8057
0.2750 0.0949 0.9002
0.3222 0.6731 0.0033
0.4056 0.2632 0.5674
0.4912 0.8237 0.1492
0.5646 0.4293 0.2426
0.5715 0.9205 0.7143
0.6716 0.0147 0.3145
0.7232 0.5774 0.9056
0.8078 0.1662 0.4876
0.9046 0.2814 0.0858
0.9192 0.7233 0.5626
0.9983 0.3287 0.6693
0.2447 0.2579 0.2439
0.2473 0.9201 0.5747
0.5693 0.5852 0.5684
0.5790 0.2541 0.9082
0.8718 0.8699 0.8563
0.9140 0.5843 0.2425
0.1784 0.5228 0.2147
0.1975 0.9197 0.8421
0.2271 0.1926 0.5125
0.2789 0.9849 0.3055
0.3039 0.6559 0.6015
0.3056 0.2784 0.9777
0.5139 0.2427 0.1803
0.5222 0.8566 0.5352
0.5476 0.5280 0.8349
0.5874 0.3173 0.6338
0.5994 0.9848 0.9074
0.6380 0.6042 0.3016
0.8431 0.5504 0.5124
0.8518 0.2015 0.9110
0.9152 0.5998 0.9805
0.9156 0.8509 0.1981
0.9732 0.3113 0.2750
0.9817 0.9224 0.5870
```

***

This entry pairs a crystal structure of MgAg14Pb6O18 with its calculated powder X-ray diffraction pattern. Radiation: λ = 1.5418 Å (Cu Kα). Structure: a crystal structure in the Materials Project, relaxed with GGA-PBE.
Kinematic intensities with the Lorentz-polarization factor, no thermal factor.

Most intense lines, 10 to 80 degrees two-theta, by angle:
- 27.36°, rel. 37.8
- 29.16°, rel. 26.4
- 29.49°, rel. 42.1
- 31.96°, rel. 19.4
- 32.03°, rel. 37.1
- 32.29°, rel. 19.5
- 32.46°, rel. 100.0
- 32.60°, rel. 62.3
- 36.45°, rel. 33.7
- 36.98°, rel. 35.3
- 51.91°, rel. 26.5
- 61.19°, rel. 19.7

Atomic structure:
```
MgAg14Pb6O18
1.0
8.8524 0.0000 0.0000
2.6140 8.5402 0.0000
2.6594 2.1630 8.2865
Mg Ag Pb O
1 14 6 18
direct
0.0000 0.0000 0.0000
0.0383 0.0113 0.5652
0.1708 0.1266 0.1685
0.2149 0.6794 0.7144
0.3024 0.2950 0.3049
0.3716 0.8621 0.3868
0.3829 0.3417 0.8843
0.4784 0.4417 0.4675
0.5621 0.0076 0.0422
0.6158 0.5934 0.6438
0.6930 0.6676 0.2494
0.7094 0.1952 0.7053
0.7815 0.7767 0.7947
0.8944 0.3440 0.3705
0.9985 0.5932 0.0320
0.0442 0.6915 0.3860
0.0493 0.3468 0.7184
0.3791 0.0193 0.7150
0.3804 0.6866 0.0534
0.7137 0.0145 0.3835
0.7247 0.3375 0.0477
0.0253 0.6166 0.6629
0.0664 0.4161 0.4440
0.0912 0.7614 0.1049
0.0989 0.0641 0.7551
0.3115 0.6699 0.3401
0.3211 0.2890 0.6926
0.3616 0.9709 0.9815
0.3943 0.7542 0.7681
0.4401 0.0443 0.4437
0.4600 0.3904 0.0642
0.6526 0.0039 0.6513
0.6994 0.2828 0.3176
0.7384 0.5858 0.0296
0.7560 0.0558 0.1055
0.7697 0.7452 0.4170
0.7767 0.3687 0.7756
0.9859 0.9619 0.3682
0.9968 0.2449 0.9937
```

***

This entry pairs a crystal structure of MgAg14Pb6O18 with its calculated powder X-ray diffraction pattern. Radiation: λ = 1.5418 Å (Cu Kα). Structure: a crystal structure in the Materials Project, relaxed with GGA-PBE.
Kinematic intensities with the Lorentz-polarization factor, no thermal factor.

Most intense lines, 10 to 80 degrees two-theta, by angle:
- 27.78°, rel. 39.3
- 28.76°, rel. 36.1
- 29.13°, rel. 59.9
- 31.62°, rel. 67.0
- 31.99°, rel. 81.7
- 32.12°, rel. 100.0
- 32.31°, rel. 66.3
- 32.67°, rel. 31.4
- 32.84°, rel. 68.1
- 36.06°, rel. 35.1
- 36.74°, rel. 40.5
- 51.24°, rel. 31.1

Atomic structure:
```
MgAg14Pb6O18
1.0
8.7756 0.0000 0.0000
2.5033 8.5988 0.0000
2.5127 1.8533 8.4881
Mg Ag Pb O
1 14 6 18
direct
0.0000 0.0000 0.0000
0.0903 0.9584 0.2851
0.1599 0.5418 0.3181
0.2311 0.0710 0.7358
0.2695 0.1483 0.3810
0.3366 0.7072 0.9816
0.4218 0.2972 0.5700
0.4771 0.3805 0.1616
0.5327 0.8566 0.6407
0.5694 0.4594 0.7356
0.6660 0.0444 0.3179
0.7372 0.6486 0.8743
0.7790 0.2890 0.9512
0.9265 0.7075 0.0919
0.9954 0.3860 0.6418
0.1559 0.3719 0.9788
0.1621 0.7141 0.6459
0.5033 0.7066 0.3203
0.5053 0.0371 0.9830
0.8250 0.3803 0.3212
0.8407 0.0452 0.6450
0.0993 0.3581 0.2516
0.1166 0.9873 0.5967
0.1429 0.6672 0.9114
0.1745 0.1049 0.9884
0.1829 0.4435 0.7092
0.2301 0.7214 0.3795
0.4248 0.3257 0.9679
0.4406 0.6857 0.5862
0.4834 0.9708 0.2654
0.5199 0.7534 0.0592
0.5528 0.4370 0.3416
0.5739 0.0590 0.6951
0.7674 0.6440 0.3118
0.8083 0.3162 0.5867
0.8105 0.0477 0.9064
0.8526 0.1131 0.3714
0.8779 0.4261 0.0497
0.8936 0.7824 0.6708
```

***

This entry pairs a crystal structure of MgAg14Pb6O18 with its calculated powder X-ray diffraction pattern. Radiation: λ = 1.5418 Å (Cu Kα). Structure: a crystal structure in the Materials Project, relaxed with GGA-PBE.
Kinematic intensities with the Lorentz-polarization factor, no thermal factor.

Most intense lines, 10 to 80 degrees two-theta, by angle:
- 27.37°, rel. 52.6
- 28.70°, rel. 46.5
- 29.09°, rel. 46.7
- 29.37°, rel. 35.3
- 31.77°, rel. 50.9
- 31.87°, rel. 100.0
- 31.99°, rel. 55.0
- 32.42°, rel. 44.2
- 32.72°, rel. 44.6
- 32.97°, rel. 59.1
- 35.83°, rel. 44.1
- 36.74°, rel. 36.1

Atomic structure:
```
MgAg14Pb6O18
1.0
8.7940 0.0000 0.0000
2.4246 8.6796 0.0000
2.7912 2.1099 8.3928
Mg Ag Pb O
1 14 6 18
direct
0.0000 0.0000 0.0000
0.0428 0.7843 0.5614
0.1438 0.3795 0.1766
0.2067 0.9591 0.2417
0.2190 0.4394 0.7265
0.2935 0.5656 0.3036
0.3717 0.1172 0.9071
0.4549 0.6760 0.4954
0.5359 0.7806 0.0798
0.5541 0.2683 0.5768
0.6161 0.8673 0.6550
0.6931 0.4575 0.2511
0.7670 0.0280 0.7947
0.8622 0.6495 0.8908
0.9455 0.2990 0.0360
0.2081 0.1178 0.5676
0.2352 0.7487 0.8806
0.5542 0.1152 0.2363
0.5554 0.4359 0.9058
0.8586 0.7707 0.2583
0.8857 0.4366 0.5742
0.1240 0.8047 0.1593
0.1613 0.3938 0.5328
0.1874 0.0663 0.8323
0.2329 0.8515 0.6083
0.2763 0.1380 0.3019
0.2852 0.4757 0.9193
0.4893 0.0932 0.5064
0.5065 0.7014 0.8903
0.5211 0.3874 0.1755
0.5636 0.1714 0.9707
0.5908 0.8447 0.2676
0.6107 0.4568 0.6366
0.8241 0.4442 0.8353
0.8284 0.0675 0.1802
0.8534 0.7116 0.5166
0.8939 0.5047 0.3064
0.9151 0.8243 0.9757
0.9391 0.1769 0.6054
```

***

This entry pairs a crystal structure of MgAg14Pb6O18 with its calculated powder X-ray diffraction pattern. Radiation: λ = 1.5418 Å (Cu Kα). Structure: a crystal structure in the Materials Project, relaxed with GGA-PBE.
Kinematic intensities with the Lorentz-polarization factor, no thermal factor.

Most intense lines, 10 to 80 degrees two-theta, by angle:
- 27.24°, rel. 82.9
- 29.25°, rel. 55.7
- 29.60°, rel. 40.5
- 29.77°, rel. 56.4
- 32.19°, rel. 85.9
- 32.24°, rel. 58.2
- 32.59°, rel. 89.1
- 33.07°, rel. 85.3
- 36.32°, rel. 34.2
- 36.90°, rel. 100.0
- 37.11°, rel. 32.8
- 54.27°, rel. 33.7

Atomic structure:
```
MgAg14Pb6O18
1.0
8.8144 0.0000 0.0000
2.6264 8.4823 0.0000
2.9506 1.9981 8.3300
Mg Ag Pb O
1 14 6 18
direct
0.0000 0.0000 0.0000
0.0658 0.2130 0.1274
0.1351 0.7166 0.6620
0.2260 0.2920 0.2971
0.2981 0.3761 0.8436
0.3051 0.8660 0.3338
0.3810 0.4630 0.4265
0.4571 0.0436 0.0059
0.5453 0.6112 0.5681
0.6256 0.2142 0.6586
0.6960 0.7568 0.7238
0.7822 0.3912 0.3277
0.8151 0.9378 0.8339
0.9477 0.5726 0.9909
0.9719 0.0538 0.4849
0.3053 0.0351 0.6738
0.3114 0.6987 0.0016
0.6313 0.3733 0.0011
0.6401 0.0346 0.3227
0.9653 0.7097 0.3273
0.9683 0.3725 0.6670
0.0229 0.0756 0.7539
0.0266 0.7517 0.0513
0.2437 0.6840 0.2669
0.2556 0.3053 0.6592
0.2593 0.9789 0.9536
0.3238 0.7612 0.7360
0.3533 0.4287 0.0339
0.3624 0.0478 0.4034
0.5758 0.6415 0.9726
0.5818 0.0230 0.5916
0.6075 0.3109 0.2674
0.6679 0.0940 0.0505
0.6798 0.3900 0.7381
0.6972 0.7684 0.3618
0.9021 0.3636 0.9450
0.9250 0.9927 0.2491
0.9571 0.6629 0.5858
0.9762 0.4460 0.3799
```